No. 1
For Pm3GaTe2, a crystal structure in Alexandria, relaxed with PBE gives the computed X-ray powder pattern in this record (copper Kα).
Neutral-atom scattering factors, no anomalous dispersion.

Atomic structure:
a b c (Å): 4.327 6.243 13.526
angles (deg): 90.00 90.00 90.00
Space group Immm (No. 71)
Unique sites:
Pm (0.000, 0.000, 0.000) (multiplicity 2)
Pm (0.000, 0.000, 0.345) (multiplicity 4)
Ga (0.000, 0.500, 0.000) (multiplicity 2)
Te (0.000, 0.500, 0.329) (multiplicity 4)

Main lines, by intensity (2θ = 5–70°):
2θ/deg	I_rel
28.6	100
40.9	50
67.0	22
49.9	13
51.4	13
40.0	13
59.2	12
41.7	12
68.3	5
65.8	5

No. 2
For Pm4GaTe3, a crystal structure in Alexandria, relaxed with PBE gives the computed X-ray powder pattern in this record (copper Kα).
Neutral-atom scattering factors, no anomalous dispersion.

Atomic structure:
a b c (Å): 6.270 6.270 12.518
angles (deg): 90.00 90.00 90.00
Space group I4/mmm (No. 139)
Unique sites:
Pm (0.000, 0.000, 0.240) (multiplicity 4)
Pm (0.000, 0.500, 0.000) (multiplicity 4)
Ga (0.000, 0.000, 0.000) (multiplicity 2)
Te (0.000, 0.000, 0.500) (multiplicity 2)
Te (0.000, 0.500, 0.250) (multiplicity 4)

Main lines, by intensity (2θ = 5–70°):
2θ/deg	I_rel
28.5	100
40.7	76
50.5	27
66.7	23
66.8	11
58.9	9
59.0	4
24.6	3
25.6	2
48.2	2

No. 3
For Pm4TlGa, a crystal structure in Alexandria, relaxed with PBE gives the computed X-ray powder pattern in this record (copper Kα).
Neutral-atom scattering factors, no anomalous dispersion.

Atomic structure:
a b c (Å): 8.931 3.813 20.985
angles (deg): 90.00 90.00 90.00
Space group Pnma (No. 62)
Unique sites:
Pm (0.021, 0.250, 0.069) (multiplicity 4)
Pm (0.031, 0.250, 0.785) (multiplicity 4)
Pm (0.127, 0.250, 0.558) (multiplicity 4)
Pm (0.141, 0.250, 0.341) (multiplicity 4)
Tl (0.229, 0.750, 0.686) (multiplicity 4)
Ga (0.242, 0.750, 0.452) (multiplicity 4)

Main lines, by intensity (2θ = 5–70°):
2θ/deg	I_rel
30.7	100
33.5	52
34.6	47
30.3	33
31.7	32
34.2	31
31.1	30
47.7	26
30.8	25
60.3	20

No. 4
For Pm4TlGa3, a crystal structure in Alexandria, relaxed with PBE gives the computed X-ray powder pattern in this record (copper Kα).
Neutral-atom scattering factors, no anomalous dispersion.

Atomic structure:
a b c (Å): 10.518 7.488 5.259
angles (deg): 90.00 90.00 90.00
Space group Pmma (No. 51)
Unique sites:
Pm (0.000, 0.242, 0.000) (multiplicity 4)
Pm (0.250, 0.242, 0.498) (multiplicity 4)
Tl (0.000, 0.500, 0.500) (multiplicity 2)
Ga (0.000, 0.000, 0.500) (multiplicity 2)
Ga (0.250, 0.000, 0.997) (multiplicity 2)
Ga (0.250, 0.500, 0.997) (multiplicity 2)

Main lines, by intensity (2θ = 5–70°):
2θ/deg	I_rel
34.0	100
34.1	50
61.0	37
60.7	18
49.0	18
48.6	9
20.6	5
26.8	4
16.9	4
23.9	3

No. 5
For PmTlGa, a crystal structure in Alexandria, relaxed with PBE gives the computed X-ray powder pattern in this record (copper Kα).
Neutral-atom scattering factors, no anomalous dispersion.

Atomic structure:
a b c (Å): 3.827 19.232 4.279
angles (deg): 90.00 90.00 90.00
Space group Cmcm (No. 63)
Unique sites:
Pm (0.000, 0.097, 0.250) (multiplicity 4)
Tl (0.000, 0.291, 0.250) (multiplicity 4)
Ga (0.000, 0.463, 0.250) (multiplicity 4)

Main lines, by intensity (2θ = 5–70°):
2θ/deg	I_rel
31.7	100
33.0	70
35.0	53
27.9	40
54.6	34
42.2	23
60.3	22
47.5	17
62.3	14
9.2	14

No. 6
For PmTmGa6, a crystal structure in Alexandria, relaxed with PBE gives the computed X-ray powder pattern in this record (copper Kα).
Neutral-atom scattering factors, no anomalous dispersion.

Atomic structure:
a b c (Å): 6.2970 6.2970 4.6008
angles (deg): 90.00 90.00 120.00
Space group P-6m2 (No. 187)
Unique sites:
Pm (0.0000, 0.0000, 0.0000) (multiplicity 1)
Tm (0.3333, 0.6667, 0.5000) (multiplicity 1)
Ga (0.3776, 0.1888, 0.5000) (multiplicity 3)
Ga (0.5185, 0.0370, 0.0000) (multiplicity 3)

Main lines, by intensity (2θ = 5–70°):
2θ/deg	I_rel
38.4	100
32.8	25
25.3	24
39.2	23
58.6	16
52.0	14
28.3	10
43.9	8
64.9	7
60.3	6